1.
Computed powder X-ray diffraction pattern
Compound: Sr2FeHg
Radiation: Cu Kα
Structure: a DFT-relaxed cell (GGA-PBE, OQMD)
Kinematic intensities with the Lorentz-polarization factor, no thermal factor.

Structural model:
Unit cell a=5.2427 b=5.2427 c=5.2427 alpha=60.00 beta=60.00 gamma=60.00
Fractional coordinates of all 4 atoms:
1 Sr 0.0000 0.0000 0.0000
2 Sr 0.2500 0.2500 0.2500
3 Fe 0.7500 0.7500 0.7500
4 Hg 0.5000 0.5000 0.5000

Principal peaks in the range 15° ≤ 2θ ≤ 90°, sorted by position:
2θ/deg	Rel. int.
20.8	15
24.0	12
34.2	100
40.3	9
49.2	18
53.9	4
55.4	6
61.2	37
72.1	11
82.2	16

***

2.
Computed powder X-ray diffraction pattern
Compound: Ho3Fe29
Radiation: Cu Kα
Structure: a DFT-relaxed cell (GGA-PBE, OQMD)
Kinematic intensities with the Lorentz-polarization factor, no thermal factor.

Structural model:
Unit cell a=6.3501 b=6.3501 c=10.3510 alpha=94.77 beta=94.77 gamma=82.47
Fractional coordinates of all 32 atoms:
1 Ho 0.0000 0.0000 0.0000
2 Ho 0.1877 0.1877 0.5977
3 Ho 0.8123 0.8123 0.4023
4 Fe 0.0000 0.5000 0.0000
5 Fe 0.0926 0.0926 0.2925
6 Fe 0.0977 0.5927 0.8016
7 Fe 0.1247 0.6918 0.1978
8 Fe 0.1635 0.4617 0.3797
9 Fe 0.1867 0.6874 0.5949
10 Fe 0.2781 0.2781 0.8921
11 Fe 0.2911 0.2911 0.1412
12 Fe 0.3082 0.8753 0.8022
13 Fe 0.3126 0.8133 0.4051
14 Fe 0.3582 0.6418 0.0000
15 Fe 0.4073 0.9023 0.1984
16 Fe 0.4617 0.1635 0.3797
17 Fe 0.4799 0.4799 0.7456
18 Fe 0.5000 0.0000 0.0000
19 Fe 0.5000 0.5000 0.5000
20 Fe 0.5201 0.5201 0.2544
21 Fe 0.5383 0.8365 0.6203
22 Fe 0.5927 0.0977 0.8016
23 Fe 0.6418 0.3582 0.0000
24 Fe 0.6874 0.1867 0.5949
25 Fe 0.6918 0.1247 0.1978
26 Fe 0.7089 0.7089 0.8588
27 Fe 0.7219 0.7219 0.1079
28 Fe 0.8133 0.3126 0.4051
29 Fe 0.8365 0.5383 0.6203
30 Fe 0.8753 0.3082 0.8022
31 Fe 0.9023 0.4073 0.1984
32 Fe 0.9074 0.9074 0.7075

Principal peaks in the range 15° ≤ 2θ ≤ 90°, sorted by position:
2θ/deg	Rel. int.
30.6	36
37.4	39
37.9	35
40.3	22
43.2	37
43.5	86
43.7	44
43.9	100
44.0	25
79.7	20

***

3.
Computed powder X-ray diffraction pattern
Compound: Ho8Fe
Radiation: Cu Kα
Structure: a DFT-relaxed cell (GGA-PBE, OQMD)
Kinematic intensities with the Lorentz-polarization factor, no thermal factor.

Structural model:
Unit cell a=8.9659 b=8.9659 c=3.6458 alpha=90.00 beta=90.00 gamma=120.00
Fractional coordinates of all 9 atoms:
1 Ho 0.0000 0.2378 0.0000
2 Ho 0.0000 0.6189 0.5000
3 Ho 0.2378 0.0000 0.0000
4 Ho 0.3333 0.6667 0.0000
5 Ho 0.3811 0.3811 0.5000
6 Ho 0.6189 0.0000 0.5000
7 Ho 0.6667 0.3333 0.0000
8 Ho 0.7622 0.7622 0.0000
9 Fe 0.0000 0.0000 0.5000

Principal peaks in the range 15° ≤ 2θ ≤ 90°, sorted by position:
2θ/deg	Rel. int.
30.5	67
31.6	100
33.7	46
34.7	47
39.4	35
50.0	15
57.6	26
59.7	20
60.2	23
62.3	17